Diffraction record for TlCuP3O9. The X-ray diffraction stick pattern is calculated, not measured: it uses a PBE-relaxed structure and Cu Kα X-rays.
Peak positions follow from Bragg's law for the DFT cell and can differ from measured ones.

Crystal structure
```
data_TlCuP3O9
_chemical_formula_sum 'Tl4 Cu4 P12 O36'
_symmetry_space_group_name_H-M 'P 1 21/c 1'
_symmetry_Int_Tables_number 14
_cell_length_a 5.3135
_cell_length_b 11.6869
_cell_length_c 13.4369
_cell_angle_alpha 90.00
_cell_angle_beta 98.91
_cell_angle_gamma 90.00
loop_
_symmetry_equiv_pos_as_xyz
'x,y,z'
'-x,-y,-z'
'-x,y+1/2,-z+1/2'
'x,-y+1/2,z+1/2'
loop_
_atom_site_label
_atom_site_type_symbol
_atom_site_fract_x
_atom_site_fract_y
_atom_site_fract_z
Tl1 Tl 0.0479 0.1422 0.2489
Cu1 Cu 0.0000 0.0000 0.0000
Cu2 Cu 0.0000 0.0000 0.5000
P1 P 0.2479 0.7480 0.0081
P2 P 0.4868 0.5954 0.8697
P3 P 0.4946 0.0809 0.8500
O1 O 0.0533 0.6616 0.4713
O2 O 0.1596 0.6441 0.0598
O3 O 0.2250 0.0418 0.8354
O4 O 0.2277 0.0895 0.6007
O5 O 0.2996 0.0036 0.1078
O6 O 0.3200 0.0032 0.3879
O7 O 0.3846 0.7133 0.9144
O8 O 0.4307 0.6358 0.7529
O9 O 0.4824 0.6968 0.5830
```

Peak list (10 most intense, 10 to 90 degrees two-theta, low angle first)
2θ 16.58, I 39, (0 2 1)
2θ 16.89, I 40, (1 0 0)
2θ 22.99, I 94, (1 2 -1)
2θ 24.48, I 100, (1 2 1)
2θ 25.25, I 54, (0 2 3)
2θ 29.53, I 56, (1 0 -4)
2θ 33.51, I 52, (0 4 2)
2θ 34.14, I 41, (1 0 4)
2θ 37.20, I 34, (0 2 5)
2θ 38.75, I 36, (1 4 2)